No. 1
Diffraction record for TaSeS. The powder diffraction line list is theoretical, not measured: it uses a PBE-relaxed structure and Cu Kα X-rays.
Kinematic intensities with the Lorentz-polarization factor, no thermal factor.

Principal peaks in the range 2θ from 15° to 90°, by intensity:
2θ = 36.38°, intensity 100
2θ = 41.44°, intensity 88
2θ = 15.64°, intensity 86
2θ = 30.61°, intensity 77
2θ = 32.63°, intensity 75
2θ = 38.83°, intensity 52
2θ = 54.16°, intensity 48
2θ = 34.37°, intensity 44

Cell and atoms:
Cell: 3.4036 22.6597 5.8789 Å, 90.00 90.00 90.00°
Space group Ama2 (No. 40)
One atom of each set of equivalent atoms:
Ta1 0.2500 0.2494 0.0000 [4 per cell]
Se1 0.2500 0.3270 0.3326 [4 per cell]
S1 0.2500 0.1839 0.3348 [4 per cell]

=====

No. 2
Diffraction record for PaInPd6. The powder diffraction line list is theoretical, not measured: it uses a PBE-relaxed structure and Cu Kα X-rays.
Kinematic intensities with the Lorentz-polarization factor, no thermal factor.

Principal peaks in the range 2θ from 15° to 90°, by intensity:
2θ = 40.91°, intensity 100
2θ = 37.80°, intensity 28
2θ = 36.08°, intensity 24
2θ = 77.61°, intensity 20
2θ = 70.37°, intensity 20
2θ = 64.88°, intensity 17
2θ = 53.25°, intensity 16
2θ = 79.62°, intensity 14

Cell and atoms:
Cell: 5.7486 5.7486 4.7598 Å, 90.00 90.00 120.00°
Space group P-6m2 (No. 187)
One atom of each set of equivalent atoms:
Pa1 0.0000 0.0000 0.0000 [1 per cell]
In1 0.3333 0.6667 0.5000 [1 per cell]
Pd1 0.3371 0.1686 0.5000 [3 per cell]
Pd2 0.5010 0.0020 0.0000 [3 per cell]